# 1
Structure and simulated powder XRD pattern of RbF3 (a DFT-relaxed cell (PBE, Alexandria); Cu Kα (λ = 1.5418 Å)).
Neutral-atom scattering factors, no anomalous dispersion.

Main lines, in order of rising 2θ (5 to 70 degrees two-theta):
| 2theta | d [Å] | I_rel | (hkl) |
| --- | --- | --- | --- |
| 19.64 | 4.520 | 36 | 0 0 4 |
| 26.88 | 3.317 | 71 | 1 0 3 |
| 33.40 | 2.683 | 100 | 1 1 2 |
| 33.51 | 2.674 | 39 | 1 0 5 |
| 44.07 | 2.055 | 44 | 1 1 6 |
| 50.17 | 1.819 | 30 | 2 0 4 |

Atomic structure:
```
data_RbF3
_chemical_formula_sum 'Rb4 F12'
_space_group_name_H-M_alt 'I 41/a m d'
_space_group_IT_number 141
_cell_length_a 3.973
_cell_length_b 3.973
_cell_length_c 18.078
_cell_angle_alpha 90.00
_cell_angle_beta 90.00
_cell_angle_gamma 90.00
loop_
_space_group_symop_operation_xyz
'x,y,z'
'-x,-y,-z'
'-y+1/4,x+3/4,z+1/4'
'y+1/4,-x+3/4,-z+1/4'
'-x+1/2,-y,z+1/2'
'x+1/2,y,-z+1/2'
'y+1/4,-x+1/4,z+3/4'
'-y+1/4,x+1/4,-z+3/4'
'x,-y,-z'
'-x,y,z'
'-y+1/4,-x+1/4,-z+3/4'
'y+1/4,x+1/4,z+3/4'
'-x+1/2,y,-z+1/2'
'x+1/2,-y,z+1/2'
'y+1/4,x+3/4,-z+1/4'
'-y+1/4,-x+3/4,z+1/4'
'x+1/2,y+1/2,z+1/2'
'-x+1/2,-y+1/2,-z+1/2'
'-y+3/4,x+1/4,z+3/4'
'y+3/4,-x+1/4,-z+3/4'
'-x,-y+1/2,z'
'x,y+1/2,-z'
'y+3/4,-x+3/4,z+1/4'
'-y+3/4,x+3/4,-z+1/4'
'x+1/2,-y+1/2,-z+1/2'
'-x+1/2,y+1/2,z+1/2'
'-y+3/4,-x+3/4,-z+1/4'
'y+3/4,x+3/4,z+1/4'
'-x,y+1/2,-z'
'x,-y+1/2,z'
'y+3/4,x+1/4,-z+3/4'
'-y+3/4,-x+1/4,z+3/4'
loop_
_atom_site_label
_atom_site_fract_x
_atom_site_fract_y
_atom_site_fract_z
Rb1 0.000 0.250 0.375
F1 0.000 0.000 0.000
F2 0.000 0.250 0.875
```

---

# 2
Structure and simulated powder XRD pattern of ErCd2B2O6 (a DFT-relaxed cell (PBE, Alexandria); Cu Kα (λ = 1.5418 Å)).
Neutral-atom scattering factors, no anomalous dispersion.

Main lines, in order of rising 2θ (5 to 70 degrees two-theta):
| 2theta | d [Å] | I_rel | (hkl) |
| --- | --- | --- | --- |
| 23.62 | 3.767 | 100 | 0 1 1 |
| 32.53 | 2.753 | 65 | 1 0 2 |
| 34.74 | 2.582 | 40 | 1 1 0 |
| 42.44 | 2.130 | 29 | 2 0 1 |
| 52.95 | 1.729 | 29 | 1 1 3 |
| 55.96 | 1.643 | 23 | 3 -2 1 |

Atomic structure:
```
data_ErCd2B2O6
_chemical_formula_sum 'Er1 Cd2 B2 O6'
_space_group_name_H-M_alt 'P -3'
_space_group_IT_number 147
_cell_length_a 5.1649
_cell_length_b 5.1649
_cell_length_c 6.9844
_cell_angle_alpha 90.00
_cell_angle_beta 90.00
_cell_angle_gamma 120.00
loop_
_space_group_symop_operation_xyz
'x,y,z'
'-x,-y,-z'
'-y,x-y,z'
'y,-x+y,-z'
'-x+y,-x,z'
'x-y,x,-z'
loop_
_atom_site_label
_atom_site_fract_x
_atom_site_fract_y
_atom_site_fract_z
Er1 0.0000 0.0000 0.0000
Cd1 0.3333 0.6667 0.3324
B1 0.3333 0.6667 0.8051
O1 0.0836 0.7008 0.8053
```

---

# 3
Structure and simulated powder XRD pattern of Mg2HgMo (a DFT-relaxed cell (PBE, Alexandria); Cu Kα (λ = 1.5418 Å)).
Neutral-atom scattering factors, no anomalous dispersion.

Main lines, in order of rising 2θ (5 to 70 degrees two-theta):
| 2theta | d [Å] | I_rel | (hkl) |
| --- | --- | --- | --- |
| 21.67 | 4.100 | 93 | 0 1 0 |
| 29.23 | 3.055 | 46 | 0 0 2 |
| 36.69 | 2.450 | 100 | 0 1 2 |
| 37.19 | 2.417 | 97 | 1 1 0 |
| 42.27 | 2.138 | 67 | 1 0 2 |
| 47.99 | 1.896 | 47 | 1 1 2 |

Atomic structure:
```
data_Mg2HgMo
_chemical_formula_sum 'Mg2 Hg1 Mo1'
_space_group_name_H-M_alt 'P m m m'
_space_group_IT_number 47
_cell_length_a 2.993
_cell_length_b 4.100
_cell_length_c 6.110
_cell_angle_alpha 90.00
_cell_angle_beta 90.00
_cell_angle_gamma 90.00
loop_
_space_group_symop_operation_xyz
'x,y,z'
'-x,-y,-z'
'-x,-y,z'
'x,y,-z'
'x,-y,-z'
'-x,y,z'
'-x,y,-z'
'x,-y,z'
loop_
_atom_site_label
_atom_site_fract_x
_atom_site_fract_y
_atom_site_fract_z
Mg1 0.000 0.000 0.234
Hg1 0.500 0.500 0.500
Mo1 0.500 0.500 0.000
```

---

# 4
Structure and simulated powder XRD pattern of PuTl3Br6 (a DFT-relaxed cell (PBE, Alexandria); Cu Kα (λ = 1.5418 Å)).
Neutral-atom scattering factors, no anomalous dispersion.

Main lines, in order of rising 2θ (5 to 70 degrees two-theta):
| 2theta | d [Å] | I_rel | (hkl) |
| --- | --- | --- | --- |
| 19.14 | 4.637 | 51 | 0 2 2 |
| 21.82 | 4.074 | 100 | 2 0 2 |
| 30.04 | 2.974 | 37 | 0 4 0 |
| 33.92 | 2.642 | 61 | 2 2 4 |
| 36.85 | 2.439 | 19 | 4 0 0 |
| 37.44 | 2.402 | 50 | 2 4 2 |

Atomic structure:
```
data_PuTl3Br6
_chemical_formula_sum 'Pu4 Tl12 Br24'
_space_group_name_H-M_alt 'F m m m'
_space_group_IT_number 69
_space_group_name_Hall '-F 2 2'
_cell_length_a 9.757
_cell_length_b 11.898
_cell_length_c 14.808
_cell_angle_alpha 90.00
_cell_angle_beta 90.00
_cell_angle_gamma 90.00
loop_
_atom_site_label
_atom_site_fract_x
_atom_site_fract_y
_atom_site_fract_z
Pu1 0.000 0.000 0.000
Tl1 0.000 0.000 0.500
Tl2 0.250 0.250 0.250
Br1 0.000 0.237 0.000
Br2 0.217 0.000 0.133
```

---

Number 3 is which compound?
Mg2HgMo